Entry 1:
Simulated X-ray powder pattern
Compound: LaYS3
Radiation: Cu Kα
Structure: a DFT-relaxed cell (PBE, the Materials Project)
Neutral-atom scattering factors, no anomalous dispersion.

Structure:
Cell lengths 11.1437, 4.0338, 21.8329 Å; angles 90.00, 101.41, 90.00 degrees
Space group P2_1/m (No. 11)
Unique sites:
1 La 0.0919 0.2500 0.3631 x2
2 La 0.1998 0.2500 0.0361 x2
3 La 0.3027 0.7500 0.7345 x2
4 La 0.3086 0.2500 0.2318 x2
5 Y 0.0294 0.2500 0.8511 x2
6 Y 0.1789 0.2500 0.5469 x2
7 Y 0.4478 0.2500 0.9170 x2
8 Y 0.4765 0.7500 0.4117 x2
9 S 0.0384 0.2500 0.2287 x2
10 S 0.0575 0.7500 0.9444 x2
11 S 0.0860 0.7500 0.4628 x2
12 S 0.1241 0.2500 0.6643 x2
13 S 0.2057 0.7500 0.1337 x2
14 S 0.2515 0.7500 0.3254 x2
15 S 0.2548 0.2500 0.8237 x2
16 S 0.3422 0.7500 0.5995 x2
17 S 0.3547 0.7500 0.9856 x2
18 S 0.3635 0.2500 0.4638 x2
19 S 0.4521 0.2500 0.1334 x2
20 S 0.4943 0.2500 0.7216 x2

Main lines, in order of falling intensity (2θ = 10–90°):
2theta  intensity
24.21  100
24.68  85
25.51  80
44.94  65
32.61  64
36.63  62
33.54  48
43.94  47
52.40  39
28.30  37


Entry 2:
Simulated X-ray powder pattern
Compound: La4Y11S22
Radiation: Cu Kα
Structure: a DFT-relaxed cell (PBE, the Materials Project)
Neutral-atom scattering factors, no anomalous dispersion.

Structure:
Cell lengths 39.5046, 3.9931, 11.4471 Å; angles 90.00, 91.56, 90.00 degrees
Space group C2/m (No. 12)
Unique sites:
1 La 0.1042 0.0000 0.0115 x4
2 La 0.1328 0.5000 0.6531 x4
3 Y 0.0000 0.0000 0.0000 x2
4 Y 0.0379 0.5000 0.7288 x4
5 Y 0.0696 0.0000 0.3605 x4
6 Y 0.1577 0.5000 0.3012 x4
7 Y 0.2021 0.0000 0.9420 x4
8 Y 0.2361 0.5000 0.6481 x4
9 S 0.0078 0.0000 0.2390 x4
10 S 0.0469 0.5000 0.9689 x4
11 S 0.0546 0.5000 0.5049 x4
12 S 0.0875 0.0000 0.7516 x4
13 S 0.0929 0.5000 0.2121 x4
14 S 0.1348 0.0000 0.4536 x4
15 S 0.1494 0.5000 0.9087 x4
16 S 0.1683 0.0000 0.1513 x4
17 S 0.1888 0.0000 0.6917 x4
18 S 0.2201 0.5000 0.4099 x4
19 S 0.2447 0.5000 0.8812 x4

Main lines, in order of falling intensity (2θ = 10–90°):
2theta  intensity
24.04  100
31.14  98
23.32  84
33.57  81
41.69  64
45.43  57
27.36  53
43.64  47
23.69  44
35.96  40